Starting from DFT lattice parameters and positions (PBE), the powder diffractogram of H6PbCI3N was simulated for Cu Kα.
Intensities are scaled so that the largest is 100.

Top 12 peaks for 2θ from 5° to 70°, low angle first:
Position (°2θ)	I/Imax	index
13.6	100	0 0 1
13.9	47	0 1 0
19.4	17	1 1 0
27.3	74	2 0 0
27.9	41	0 2 0
30.4	20	2 0 -1
30.8	38	0 1 2
30.9	16	2 0 1
31.2	30	0 2 1
39.5	67	2 2 0
41.7	17	2 2 -1
42.1	17	2 1 2

```
H6PbCI3N
1.0
6.524 0.000 0.000
0.000 6.391 0.000
-0.137 0.000 6.529
H Pb C I N
6 1 1 3 1
direct
0.000 0.000 0.000
0.159 0.141 0.692
0.159 0.859 0.692
0.212 0.132 0.062
0.212 0.868 0.062
0.389 0.000 0.762
0.719 0.500 0.324
0.221 0.000 0.766
0.223 0.500 0.268
0.685 0.000 0.261
0.760 0.500 0.790
0.158 0.000 0.984
```